Computed powder diffractogram of Ac2CuSe2O2 for λ = 1.5418 Å (Cu Kα), from the GGA-PBE geometry in Alexandria.
Peak positions follow from Bragg's law for the DFT cell and can differ from measured ones.

Peak list (12 most intense, 2θ from 10° to 90°, in order of rising 2θ)
d_spacing	I_rel
3.511	100
3.122	58
2.688	32
2.303	20
2.123	39
1.988	18
1.817	16
1.756	12
1.736	13
1.724	12
1.579	12
1.380	13

Cell and atoms:
```
7
Lattice="4.246 0.000 0.000 -2.123 3.677 0.000 0.000 0.000 11.817" Properties=species:S:1:pos:R:3 pbc="T T T"
Ac 0.000 2.451 1.593
Ac 2.123 1.226 10.224
Cu 0.000 0.000 5.908
Se 0.000 0.000 3.692
Se 0.000 0.000 8.124
O 0.000 2.451 10.892
O 2.123 1.226 0.925
```

Computed powder diffractogram of Cu3GeS3 for λ = 1.5418 Å (Cu Kα), from the GGA-PBE geometry in Alexandria.
Peak positions follow from Bragg's law for the DFT cell and can differ from measured ones.

Peak list (12 most intense, 2θ from 10° to 90°, in order of rising 2θ)
d_spacing	I_rel
6.299	39
3.149	99
2.697	39
2.612	100
2.381	26
2.166	62
2.011	52
1.948	60
1.818	29
1.657	45
1.492	29
1.106	20

Cell and atoms:
```
14
Lattice="7.273 0.000 0.000 -3.636 6.299 0.000 0.000 0.000 5.225" Properties=species:S:1:pos:R:3 pbc="T T T"
Cu 0.000 2.703 1.306
Cu -1.296 4.947 1.306
Cu 2.341 1.351 3.919
Cu 1.296 4.947 1.306
Cu 4.932 1.351 3.919
Cu 3.636 3.596 3.919
Ge 0.000 4.199 3.919
Ge 3.637 2.100 1.306
S 0.000 2.031 3.919
S -1.878 5.283 3.919
S 1.759 1.015 1.306
S 1.878 5.283 3.919
S 5.514 1.015 1.306
S 3.637 4.268 1.306
```

Computed powder diffractogram of La2Zn2Ag3 for λ = 1.5418 Å (Cu Kα), from the GGA-PBE geometry in Alexandria.
Peak positions follow from Bragg's law for the DFT cell and can differ from measured ones.

Peak list (12 most intense, 2θ from 10° to 90°, in order of rising 2θ)
d_spacing	I_rel
3.064	14
2.821	90
2.749	100
2.622	13
2.514	28
2.250	41
2.173	38
2.023	22
1.758	15
1.644	15
1.563	25
1.344	17

Cell and atoms:
```
14
Lattice="2.173 -10.056 0.000 2.173 10.056 0.000 0.000 0.000 7.548" Properties=species:S:1:pos:R:3 pbc="T T T"
La 2.173 8.862 5.661
La 2.173 6.781 1.887
La 2.173 -6.781 5.661
La 2.173 -8.862 1.887
Zn 2.173 3.796 0.469
Zn 2.173 3.796 3.305
Zn 2.173 -3.796 4.243
Zn 2.173 -3.796 7.078
Ag 2.173 5.565 5.661
Ag 2.173 1.275 4.269
Ag 2.173 1.275 7.053
Ag 2.173 -1.275 0.495
Ag 2.173 -1.275 3.279
Ag 2.173 -5.565 1.887
```